No. 1
# BaBiH4
Calculated powder diffractogram, CuKα. Input: DFT lattice parameters and positions (GGA-PBE).

Crystal structure
```
BaBiH4
1.0
4.2500 0.0000 0.0000
0.0000 4.2500 0.0000
0.0000 0.0000 5.3863
Ba Bi H
1 1 4
Direct
0.0000 0.0000 0.0000 Ba
0.5000 0.5000 0.5000 Bi
0.0000 0.5000 0.2901 H
0.0000 0.5000 0.7099 H
0.5000 0.0000 0.2901 H
0.5000 0.0000 0.7099 H
```

Top 6 peaks for 5° ≤ 2θ ≤ 70°, low angle first:
3.336 Å, intensity 100.0
3.005 Å, intensity 36.8
2.693 Å, intensity 13.8
2.125 Å, intensity 15.0
2.006 Å, intensity 25.1
1.792 Å, intensity 35.0

***

No. 2
# BaHgBiH
Calculated powder diffractogram, CuKα. Input: DFT lattice parameters and positions (GGA-PBE).

Crystal structure
```
BaHgBiH
1.0
4.8984 0.0000 0.0000
-2.4492 4.2421 0.0000
0.0000 0.0000 5.3691
Ba Hg Bi H
1 1 1 1
Direct
0.0000 0.0000 0.0000 Ba
0.6667 0.3333 0.4028 Hg
0.3333 0.6667 0.5623 Bi
0.6667 0.3333 0.0441 H
```

Top 6 peaks for 5° ≤ 2θ ≤ 70°, low angle first:
5.369 Å, intensity 20.0
3.329 Å, intensity 100.0
2.449 Å, intensity 52.0
2.268 Å, intensity 25.6
1.973 Å, intensity 23.6
1.536 Å, intensity 21.4

***

No. 3
# BaMgBiH
Calculated powder diffractogram, CuKα. Input: DFT lattice parameters and positions (GGA-PBE).

Crystal structure
```
BaMgBiH
1.0
4.8625 0.0000 0.0000
-2.4312 4.2110 0.0000
0.0000 0.0000 5.3253
Ba Mg Bi H
1 1 1 1
Direct
0.0000 0.0000 0.0000 Ba
0.3333 0.6667 0.4332 Mg
0.6667 0.3333 0.5484 Bi
0.3333 0.6667 0.0734 H
```

Top 6 peaks for 5° ≤ 2θ ≤ 70°, low angle first:
4.211 Å, intensity 24.9
3.303 Å, intensity 100.0
2.431 Å, intensity 34.4
1.958 Å, intensity 23.4
1.795 Å, intensity 23.3
1.525 Å, intensity 21.2

***

No. 4
# BaNa2BiH
Calculated powder diffractogram, CuKα. Input: DFT lattice parameters and positions (GGA-PBE).

Crystal structure
```
BaNa2BiH
1.0
2.4884 -6.4231 0.0000
2.4884 6.4231 0.0000
0.0000 0.0000 9.3153
Ba Na Bi H
2 4 2 2
Direct
0.0602 0.9398 0.7500 Ba
0.9398 0.0602 0.2500 Ba
0.3375 0.6625 0.5599 Na
0.3375 0.6625 0.9401 Na
0.6625 0.3375 0.0599 Na
0.6625 0.3375 0.4401 Na
0.2267 0.7733 0.2500 Bi
0.7733 0.2267 0.7500 Bi
0.5000 0.5000 0.0000 H
0.5000 0.5000 0.5000 H
```

Top 6 peaks for 5° ≤ 2θ ≤ 70°, low angle first:
4.653 Å, intensity 88.4
4.154 Å, intensity 42.7
3.287 Å, intensity 38.2
3.065 Å, intensity 100.0
3.036 Å, intensity 35.0
2.244 Å, intensity 41.2

***

No. 5
# BaBiH2O4
Calculated powder diffractogram, CuKα. Input: DFT lattice parameters and positions (GGA-PBE).

Crystal structure
```
BaBiH2O4
1.0
-2.4578 3.1794 3.5773
2.4578 -3.1794 3.5773
2.4578 3.1794 -3.5773
Ba Bi H O
1 1 2 4
Direct
0.0000 0.0000 0.0000 Ba
0.5000 0.5000 0.0000 Bi
0.3184 0.8184 0.5000 H
0.6816 0.1816 0.5000 H
0.1832 0.0015 0.5653 O
0.4362 0.6179 0.4347 O
0.5638 0.9985 0.1817 O
0.8168 0.3821 0.8183 O
```

Top 6 peaks for 5° ≤ 2θ ≤ 70°, low angle first:
3.889 Å, intensity 100.0
3.577 Å, intensity 32.6
3.179 Å, intensity 35.2
2.633 Å, intensity 92.4
1.945 Å, intensity 36.9
1.709 Å, intensity 45.6

***

No. 6
# BaScBiH2
Calculated powder diffractogram, CuKα. Input: DFT lattice parameters and positions (GGA-PBE).

Crystal structure
```
BaScBiH2
1.0
2.2145 -6.4886 0.0000
2.2145 6.4886 0.0000
0.0000 0.0000 7.4855
Ba Sc Bi H
2 2 2 4
Direct
0.2169 0.7831 0.7500 Ba
0.7831 0.2169 0.2500 Ba
0.5000 0.5000 0.0000 Sc
0.5000 0.5000 0.5000 Sc
0.0627 0.9373 0.2500 Bi
0.9373 0.0627 0.7500 Bi
0.3456 0.6544 0.0595 H
0.3456 0.6544 0.4405 H
0.6544 0.3456 0.5595 H
0.6544 0.3456 0.9405 H
```

Top 6 peaks for 5° ≤ 2θ ≤ 70°, low angle first:
4.192 Å, intensity 41.1
3.743 Å, intensity 46.4
2.977 Å, intensity 58.0
2.860 Å, intensity 100.0
2.792 Å, intensity 73.7
1.942 Å, intensity 33.1